K2MoF5: calculated powder diffraction line list (copper Kα), based on DFT lattice parameters and positions (GGA+U).

Most intense lines, 2θ from 15° to 90°, in order of rising 2θ:
- (2 0 0), 2θ 15.0, I = 24.5
- (1 1 0), 2θ 16.3, I = 64.9
- (0 0 2), 2θ 22.8, I = 36.4
- (1 1 -2), 2θ 26.0, I = 89.6
- (3 1 0), 2θ 26.9, I = 100.0
- (2 2 2), 2θ 43.3, I = 70.8
- (1 1 4), 2θ 52.2, I = 31.6
- (7 1 -2), 2θ 53.7, I = 24.2

a b c (Å): 12.5137 6.1460 8.2510
angles (deg): 90.00 109.32 90.00
Space group C2/c (No. 15)
Inequivalent atoms, fractional coordinates:
K  0.1736  0.0225  0.3371 [8 per cell]
Mo  0.0000  0.5000  0.0000 [4 per cell]
F  0.0000  0.4081  0.2500 [4 per cell]
F  0.1282  0.2657  0.5883 [8 per cell]
F  0.1295  0.2704  0.0408 [8 per cell]